Calculated powder X-ray diffraction pattern
Compound: KRbInAgAu2
Radiation: Cu Kα (weighted mean of Kα1 and Kα2)
Structure: a GGA-PBE-relaxed structure
Intensities are scaled so that the largest is 1000.

Cell and atoms:
```
KRbInAgAu2
1.0
5.7180 0.0000 0.0000
0.0000 6.8547 0.0000
0.0000 0.0000 9.1293
K Rb In Ag Au
2 2 2 2 4
direct
0.2500 0.0000 0.1276
0.7500 0.0000 0.8724
0.2500 0.5000 0.3642
0.7500 0.5000 0.6358
0.2500 0.5000 0.9266
0.7500 0.5000 0.0734
0.0000 0.0000 0.5000
0.5000 0.0000 0.5000
0.2500 0.2065 0.7240
0.2500 0.7935 0.7240
0.7500 0.2065 0.2760
0.7500 0.7935 0.2760
```

The 8 most intense peaks (5 to 70 degrees two-theta), sorted by position:
| 2θ/deg | Rel. int. | hkl |
| --- | --- | --- |
| 16.17 | 254 | 0 1 1 |
| 18.31 | 1000 | 1 0 1 |
| 28.20 | 402 | 1 1 2 |
| 31.29 | 327 | 2 0 0 |
| 31.98 | 626 | 1 2 1 |
| 32.67 | 504 | 0 2 2 |
| 37.10 | 276 | 2 0 2 |
| 39.45 | 308 | 0 3 0 |



Calculated powder X-ray diffraction pattern
Compound: KRbInAgAu2
Radiation: Cu Kα (weighted mean of Kα1 and Kα2)
Structure: a GGA-PBE-relaxed structure
Intensities are scaled so that the largest is 1000.

Cell and atoms:
```
KRbInAgAu2
1.0
5.7169 0.0000 0.0000
0.0000 6.7861 0.0000
0.0000 0.0000 9.2397
K Rb In Ag Au
2 2 2 2 4
direct
0.2500 0.0000 0.1359
0.7500 0.0000 0.8641
0.2500 0.5000 0.3728
0.7500 0.5000 0.6272
0.2500 0.0000 0.5771
0.7500 0.0000 0.4229
0.0000 0.5000 0.0000
0.5000 0.5000 0.0000
0.2500 0.2875 0.7846
0.2500 0.7125 0.7846
0.7500 0.2875 0.2154
0.7500 0.7125 0.2154
```

The 8 most intense peaks (5 to 70 degrees two-theta), sorted by position:
| 2θ/deg | Rel. int. | hkl |
| --- | --- | --- |
| 16.21 | 248 | 0 1 1 |
| 18.25 | 1000 | 1 0 1 |
| 28.09 | 459 | 1 1 2 |
| 31.29 | 324 | 2 0 0 |
| 32.17 | 634 | 1 2 1 |
| 32.75 | 553 | 0 2 2 |
| 36.98 | 256 | 2 0 2 |
| 42.49 | 213 | 2 2 1 |



Calculated powder X-ray diffraction pattern
Compound: KRbInAg2Au
Radiation: Cu Kα (weighted mean of Kα1 and Kα2)
Structure: a GGA-PBE-relaxed structure
Intensities are scaled so that the largest is 1000.

Cell and atoms:
```
KRbInAg2Au
1.0
5.7103 0.0000 0.0000
0.0000 6.6631 0.0000
0.0000 0.0000 9.3816
K Rb In Ag Au
2 2 2 4 2
direct
0.2500 0.0000 0.1362
0.7500 0.0000 0.8638
0.2500 0.5000 0.3699
0.7500 0.5000 0.6301
0.2500 0.0000 0.5742
0.7500 0.0000 0.4258
0.2500 0.2814 0.7901
0.2500 0.7186 0.7901
0.7500 0.2814 0.2099
0.7500 0.7186 0.2099
0.0000 0.5000 0.0000
0.5000 0.5000 0.0000
```

The 8 most intense peaks (5 to 70 degrees two-theta), sorted by position:
| 2θ/deg | Rel. int. | hkl |
| --- | --- | --- |
| 13.29 | 430 | 0 1 0 |
| 16.32 | 1000 | 0 1 1 |
| 18.19 | 495 | 1 0 1 |
| 28.02 | 669 | 1 1 2 |
| 32.55 | 451 | 1 2 1 |
| 32.98 | 708 | 0 2 2 |
| 39.34 | 428 | 2 1 2 |
| 42.83 | 742 | 2 2 1 |



Calculated powder X-ray diffraction pattern
Compound: KRbInAg2Au
Radiation: Cu Kα (weighted mean of Kα1 and Kα2)
Structure: a GGA-PBE-relaxed structure
Intensities are scaled so that the largest is 1000.

Cell and atoms:
```
KRbInAg2Au
1.0
5.7488 0.0000 0.0000
0.0000 6.6856 0.0000
0.0000 0.0000 9.3291
K Rb In Ag Au
2 2 2 4 2
direct
0.2500 0.0000 0.1274
0.7500 0.0000 0.8726
0.2500 0.5000 0.3608
0.7500 0.5000 0.6392
0.2500 0.5000 0.9314
0.7500 0.5000 0.0686
0.2500 0.2146 0.7157
0.2500 0.7854 0.7157
0.7500 0.2146 0.2843
0.7500 0.7854 0.2843
0.0000 0.0000 0.5000
0.5000 0.0000 0.5000
```

The 8 most intense peaks (5 to 70 degrees two-theta), sorted by position:
| 2θ/deg | Rel. int. | hkl |
| --- | --- | --- |
| 9.48 | 806 | 0 0 1 |
| 16.31 | 1000 | 0 1 1 |
| 18.13 | 465 | 1 0 1 |
| 28.02 | 614 | 1 1 2 |
| 31.74 | 369 | 0 1 3 |
| 32.43 | 452 | 1 2 1 |
| 32.97 | 699 | 0 2 2 |
| 39.20 | 416 | 2 1 2 |